Starting from a crystal structure in Alexandria, relaxed with GGA-PBE, the powder diffractogram of PmHo2Ru2 was computed for copper Kα.
Lines closer than 0.1° are merged.

Most intense lines, 10 to 80 degrees two-theta, in order of falling intensity:
two_theta  Rel. int.
37.57  1000
37.19  984
34.08  714
67.09  347
40.43  345
62.79  244
65.34  213
25.92  211
26.20  191
17.20  188

Cell and atoms:
a = 3.416 Å, b = 20.622 Å, c = 3.401 Å
α = 90.00°, β = 90.00°, γ = 90.00°
Fractional positions:
Pm 0.000 0.000 0.000
Pm 0.500 0.500 0.000
Ho 0.000 0.166 0.000
Ho 0.000 0.834 0.000
Ho 0.500 0.334 0.000
Ho 0.500 0.666 0.000
Ru 0.000 0.408 0.500
Ru 0.000 0.592 0.500
Ru 0.500 0.092 0.500
Ru 0.500 0.908 0.500